Starting from a crystal structure in Alexandria, relaxed with GGA+U, the XRD peak list of GaSnWO6 was computed for Cu Ka.
Kinematic intensities with the Lorentz-polarization factor, no thermal factor.

Atomic structure:
Cell lengths 5.185, 5.185, 9.472 Å; angles 90.00, 90.00, 120.00 degrees
Fractional coordinates of all 18 atoms:
Ga 0.333 0.667 0.250
Ga 0.667 0.333 0.750
Sn 0.000 0.000 0.000
Sn 0.000 0.000 0.500
W 0.333 0.667 0.750
W 0.667 0.333 0.250
O 0.006 0.363 0.636
O 0.006 0.643 0.864
O 0.357 0.363 0.864
O 0.357 0.994 0.636
O 0.363 0.006 0.136
O 0.363 0.357 0.364
O 0.637 0.643 0.636
O 0.637 0.994 0.864
O 0.643 0.006 0.364
O 0.643 0.637 0.136
O 0.994 0.357 0.136
O 0.994 0.637 0.364

Principal peaks in the range 2θ = 15–90°, by angle:
| index | 2θ/deg | d [Å] | Rel. int. |
| --- | --- | --- | --- |
| 0 0 2 | 18.74 | 4.736 | 15 |
| 1 0 1 | 21.91 | 4.057 | 24 |
| 1 0 2 | 27.37 | 3.258 | 100 |
| 1 1 0 | 34.60 | 2.592 | 47 |
| 1 1 2 | 39.64 | 2.274 | 13 |
| 2 0 2 | 44.67 | 2.029 | 26 |
| 1 1 4 | 52.33 | 1.748 | 49 |
| 2 1 2 | 57.70 | 1.598 | 25 |
| 3 0 0 | 62.02 | 1.496 | 19 |
| 4 -2 4 | 85.38 | 1.137 | 11 |